Record 1
Starting from a structure optimized by DFT (PBE), the powder diffraction line list of TbGe2Ir was calculated for Cu Kα X-rays.
Peak positions follow from Bragg's law for the DFT cell and can differ from measured ones.

Crystal structure
abc: 9.489 9.489 9.489
angles: 153.85 123.86 62.95
Fractional coordinates of all 16 atoms:
Tb1 0.205 0.205 0.000
Tb2 0.238 0.000 0.238
Tb3 0.762 0.000 0.762
Tb4 0.795 0.795 0.000
Ge1 0.077 0.577 0.500
Ge2 0.146 0.799 0.347
Ge3 0.422 0.422 0.000
Ge4 0.452 0.799 0.653
Ge5 0.548 0.201 0.347
Ge6 0.578 0.578 0.000
Ge7 0.854 0.201 0.653
Ge8 0.923 0.423 0.500
Ir1 0.105 0.355 0.751
Ir2 0.396 0.645 0.751
Ir3 0.604 0.355 0.249
Ir4 0.895 0.645 0.249

Main lines, low angle first (15 to 90 degrees two-theta):
19.88°, intensity 192
33.38°, intensity 1000
34.70°, intensity 509
38.44°, intensity 160
39.01°, intensity 293
40.40°, intensity 218
42.09°, intensity 370
48.99°, intensity 201
58.72°, intensity 178
69.01°, intensity 184



Record 2
Starting from a structure optimized by DFT (PBE), the powder diffraction line list of Sb2Os was calculated for Cu Kα X-rays.
Peak positions follow from Bragg's law for the DFT cell and can differ from measured ones.

Crystal structure
abc: 6.014 6.762 3.254
angles: 90.00 90.00 90.00
Fractional coordinates of all 6 atoms:
Sb1 0.182 0.142 0.000
Sb2 0.318 0.642 0.500
Sb3 0.682 0.358 0.500
Sb4 0.818 0.858 0.000
Os1 0.000 0.500 0.000
Os2 0.500 0.000 0.500

Main lines, low angle first (15 to 90 degrees two-theta):
19.75°, intensity 559
30.33°, intensity 612
31.25°, intensity 1000
34.01°, intensity 575
40.13°, intensity 302
41.33°, intensity 311
42.84°, intensity 394
43.09°, intensity 827
47.29°, intensity 425
49.17°, intensity 560